The following is a theoretical XRD peak list of DyMg15Sc4. It was derived from the PBE geometry in Alexandria, using λ = 1.5418 Å (Cu Kα).

Largest 12 diffraction maxima, low angle first, 10 to 90 degrees two-theta:
2θ 19.35, rel. 182, hkl 1 0 0
2θ 19.76, rel. 94, hkl 1 0 1
2θ 19.95, rel. 85, hkl 0 0 5
2θ 27.93, rel. 146, hkl 1 0 5
2θ 34.21, rel. 1000, hkl 1 1 5
2θ 39.28, rel. 342, hkl 2 0 0
2θ 40.54, rel. 147, hkl 0 0 10
2θ 56.76, rel. 111, hkl 2 2 0
2θ 57.73, rel. 199, hkl 2 0 10
2θ 67.97, rel. 250, hkl 3 1 5
2θ 69.70, rel. 102, hkl 1 1 15
2θ 72.06, rel. 98, hkl 2 2 10

Atomic structure:
```
data_DyMg15Sc4
_symmetry_space_group_name_H-M 'P 4/m m m'
_symmetry_Int_Tables_number 123
_symmetry_space_group_name_Hall '-P 4 2'
_cell_length_a 4.5872
_cell_length_b 4.5872
_cell_length_c 22.2512
_cell_angle_alpha 90.00
_cell_angle_beta 90.00
_cell_angle_gamma 90.00
loop_
_atom_site_label
_atom_site_type_symbol
_atom_site_fract_x
_atom_site_fract_y
_atom_site_fract_z
Dy1 Dy 0.0000 0.0000 0.0000
Mg1 Mg 0.0000 0.5000 0.1061
Mg2 Mg 0.0000 0.5000 0.3037
Mg3 Mg 0.0000 0.5000 0.5000
Mg4 Mg 0.5000 0.5000 0.0000
Mg5 Mg 0.5000 0.5000 0.2058
Mg6 Mg 0.5000 0.5000 0.4018
Sc1 Sc 0.0000 0.0000 0.2054
Sc2 Sc 0.0000 0.0000 0.4022
```


The following is a theoretical XRD peak list of Dy2Mg7Sc2. It was derived from the PBE geometry in Alexandria, using λ = 1.5418 Å (Cu Kα).

Largest 12 diffraction maxima, low angle first, 10 to 90 degrees two-theta:
2θ 12.43, rel. 623, hkl 0 2 0
2θ 20.75, rel. 1000, hkl 1 0 1
2θ 22.08, rel. 330, hkl 0 3 1
2θ 23.41, rel. 343, hkl 0 0 2
2θ 24.26, rel. 685, hkl 1 2 1
2θ 26.59, rel. 631, hkl 0 2 2
2θ 32.72, rel. 986, hkl 1 4 1
2θ 34.60, rel. 731, hkl 2 0 0
2θ 34.85, rel. 910, hkl 1 3 2
2θ 35.99, rel. 422, hkl 1 5 0
2θ 41.67, rel. 318, hkl 1 2 3
2θ 44.18, rel. 323, hkl 2 2 2

Atomic structure:
```
data_Dy2Mg7Sc2
_symmetry_space_group_name_H-M 'I m m 2'
_symmetry_Int_Tables_number 44
_symmetry_space_group_name_Hall 'I 2 -2'
_cell_length_a 5.1810
_cell_length_b 14.2378
_cell_length_c 7.5997
_cell_angle_alpha 90.00
_cell_angle_beta 90.00
_cell_angle_gamma 90.00
loop_
_atom_site_label
_atom_site_type_symbol
_atom_site_fract_x
_atom_site_fract_y
_atom_site_fract_z
Dy1 Dy 0.0000 0.2178 0.0000
Mg1 Mg 0.0000 0.0000 0.2249
Mg2 Mg 0.0000 0.1491 0.5156
Mg3 Mg 0.0000 0.3684 0.3078
Mg4 Mg 0.0000 0.3798 0.6867
Sc1 Sc 0.0000 0.0000 0.8159
Sc2 Sc 0.0000 0.5000 0.0126
```


The following is a theoretical XRD peak list of DyMg6Sc. It was derived from the PBE geometry in Alexandria, using λ = 1.5418 Å (Cu Kα).

Largest 12 diffraction maxima, low angle first, 10 to 90 degrees two-theta:
2θ 19.30, rel. 367, hkl 1 0 0
2θ 19.43, rel. 182, hkl 0 0 2
2θ 21.63, rel. 306, hkl 1 0 1
2θ 27.49, rel. 468, hkl 1 1 0
2θ 29.15, rel. 162, hkl 1 1 1
2θ 33.84, rel. 1000, hkl 1 1 2
2θ 39.18, rel. 332, hkl 2 0 0
2θ 39.46, rel. 161, hkl 0 0 4
2θ 44.06, rel. 174, hkl 2 0 2
2θ 48.55, rel. 130, hkl 2 1 2
2θ 56.82, rel. 216, hkl 2 0 4
2θ 67.61, rel. 252, hkl 3 1 2

Atomic structure:
```
data_DyMg6Sc
_symmetry_space_group_name_H-M 'P 4/m m m'
_symmetry_Int_Tables_number 123
_symmetry_space_group_name_Hall '-P 4 2'
_cell_length_a 4.5988
_cell_length_b 4.5988
_cell_length_c 9.1347
_cell_angle_alpha 90.00
_cell_angle_beta 90.00
_cell_angle_gamma 90.00
loop_
_atom_site_label
_atom_site_type_symbol
_atom_site_fract_x
_atom_site_fract_y
_atom_site_fract_z
Dy1 Dy 0.0000 0.0000 0.0000
Mg1 Mg 0.0000 0.5000 0.2571
Mg2 Mg 0.5000 0.5000 0.0000
Mg3 Mg 0.5000 0.5000 0.5000
Sc1 Sc 0.0000 0.0000 0.5000
```


The following is a theoretical XRD peak list of Tb4Dy2MgSc. It was derived from the PBE geometry in Alexandria, using λ = 1.5418 Å (Cu Kα).

Largest 12 diffraction maxima, low angle first, 10 to 90 degrees two-theta:
2θ 20.13, rel. 177, hkl 1 0 1
2θ 31.50, rel. 1000, hkl 1 1 2
2θ 36.28, rel. 343, hkl 2 0 0
2θ 37.04, rel. 161, hkl 0 0 4
2θ 41.83, rel. 56, hkl 2 1 1
2θ 52.24, rel. 121, hkl 2 2 0
2θ 52.81, rel. 233, hkl 2 0 4
2θ 62.29, rel. 283, hkl 3 1 2
2θ 63.31, rel. 142, hkl 1 1 6
2θ 65.76, rel. 120, hkl 2 2 4
2θ 85.57, rel. 59, hkl 3 3 2
2θ 86.47, rel. 123, hkl 3 1 6

Atomic structure:
```
data_Tb4Dy2MgSc
_symmetry_space_group_name_H-M 'P 4/m m m'
_symmetry_Int_Tables_number 123
_symmetry_space_group_name_Hall '-P 4 2'
_cell_length_a 4.9524
_cell_length_b 4.9524
_cell_length_c 9.7091
_cell_angle_alpha 90.00
_cell_angle_beta 90.00
_cell_angle_gamma 90.00
loop_
_atom_site_label
_atom_site_type_symbol
_atom_site_fract_x
_atom_site_fract_y
_atom_site_fract_z
Tb1 Tb 0.0000 0.5000 0.2472
Dy1 Dy 0.0000 0.0000 0.0000
Dy2 Dy 0.5000 0.5000 0.5000
Mg1 Mg 0.0000 0.0000 0.5000
Sc1 Sc 0.5000 0.5000 0.0000
```


The following is a theoretical XRD peak list of DyThMgSc. It was derived from the PBE geometry in Alexandria, using λ = 1.5418 Å (Cu Kα).

Largest 12 diffraction maxima, low angle first, 10 to 90 degrees two-theta:
2θ 29.19, rel. 1000, hkl 1 0 3
2θ 33.98, rel. 872, hkl 1 0 5
2θ 34.41, rel. 236, hkl 0 0 8
2θ 37.33, rel. 410, hkl 1 1 0
2θ 38.35, rel. 218, hkl 1 1 2
2θ 51.67, rel. 300, hkl 1 1 8
2θ 53.82, rel. 143, hkl 2 0 0
2θ 62.39, rel. 247, hkl 2 1 3
2θ 64.18, rel. 155, hkl 1 0 13
2θ 65.19, rel. 266, hkl 2 1 5
2θ 65.46, rel. 148, hkl 2 0 8
2θ 88.51, rel. 133, hkl 2 1 13

Atomic structure:
```
data_DyThMgSc
_symmetry_space_group_name_H-M 'I 4 m m'
_symmetry_Int_Tables_number 107
_symmetry_space_group_name_Hall 'I 4 -2'
_cell_length_a 3.4069
_cell_length_b 3.4069
_cell_length_c 20.8511
_cell_angle_alpha 90.00
_cell_angle_beta 90.00
_cell_angle_gamma 90.00
loop_
_atom_site_label
_atom_site_type_symbol
_atom_site_fract_x
_atom_site_fract_y
_atom_site_fract_z
Dy1 Dy 0.0000 0.0000 0.0000
Th1 Th 0.0000 0.0000 0.3772
Mg1 Mg 0.0000 0.0000 0.6151
Sc1 Sc 0.0000 0.0000 0.7669
```


The following is a theoretical XRD peak list of Dy6MgSe8. It was derived from the PBE geometry in Alexandria, using λ = 1.5418 Å (Cu Kα).

Largest 12 diffraction maxima, low angle first, 10 to 90 degrees two-theta:
2θ 15.44, rel. 175, hkl 2 0 0
2θ 21.91, rel. 157, hkl 2 2 0
2θ 26.92, rel. 87, hkl 2 2 2
2θ 31.18, rel. 1000, hkl 4 0 0
2θ 34.97, rel. 98, hkl 4 2 0
2θ 38.43, rel. 75, hkl 4 2 2
2θ 44.67, rel. 737, hkl 4 4 0
2θ 47.54, rel. 52, hkl 4 4 2
2θ 55.48, rel. 257, hkl 4 4 4
2θ 65.02, rel. 119, hkl 8 0 0
2θ 73.87, rel. 328, hkl 8 4 0
2θ 82.33, rel. 248, hkl 8 4 4

Atomic structure:
```
data_Dy6MgSe8
_symmetry_space_group_name_H-M 'F m -3 m'
_symmetry_Int_Tables_number 225
_symmetry_space_group_name_Hall '-F 4 2 3'
_cell_length_a 11.4749
_cell_length_b 11.4749
_cell_length_c 11.4749
_cell_angle_alpha 90.00
_cell_angle_beta 90.00
_cell_angle_gamma 90.00
loop_
_atom_site_label
_atom_site_type_symbol
_atom_site_fract_x
_atom_site_fract_y
_atom_site_fract_z
Dy1 Dy 0.0000 0.2500 0.2500
Mg1 Mg 0.0000 0.0000 0.0000
Se1 Se 0.0000 0.0000 0.2437
Se2 Se 0.2500 0.2500 0.2500
```


The following is a theoretical XRD peak list of Dy2MgSe. It was derived from the PBE geometry in Alexandria, using λ = 1.5418 Å (Cu Kα).

Largest 12 diffraction maxima, low angle first, 10 to 90 degrees two-theta:
2θ 10.16, rel. 586, hkl 0 0 3
2θ 20.40, rel. 152, hkl 0 0 6
2θ 27.06, rel. 254, hkl 1 0 1
2θ 27.71, rel. 251, hkl 0 1 2
2θ 30.19, rel. 237, hkl 1 0 4
2θ 31.93, rel. 1000, hkl 0 1 5
2θ 36.21, rel. 183, hkl 1 0 7
2θ 44.11, rel. 360, hkl 1 0 10
2θ 47.41, rel. 352, hkl 1 1 0
2θ 58.30, rel. 179, hkl 2 0 5
2θ 73.46, rel. 148, hkl 1 1 15
2θ 78.33, rel. 152, hkl 1 2 5

Atomic structure:
```
data_Dy2MgSe
_symmetry_space_group_name_H-M 'R 3 m'
_symmetry_Int_Tables_number 160
_symmetry_space_group_name_Hall 'R 3 -2"'
_cell_length_a 3.8355
_cell_length_b 3.8355
_cell_length_c 26.1160
_cell_angle_alpha 90.00
_cell_angle_beta 90.00
_cell_angle_gamma 120.00
loop_
_atom_site_label
_atom_site_type_symbol
_atom_site_fract_x
_atom_site_fract_y
_atom_site_fract_z
Dy1 Dy 0.0000 0.0000 0.0000
Dy2 Dy 0.0000 0.0000 0.1974
Mg1 Mg 0.0000 0.0000 0.4319
Se1 Se 0.0000 0.0000 0.5994
```


The following is a theoretical XRD peak list of Dy4MgSe7. It was derived from the PBE geometry in Alexandria, using λ = 1.5418 Å (Cu Kα).

Largest 12 diffraction maxima, low angle first, 10 to 90 degrees two-theta:
2θ 23.19, rel. 811, hkl 2 0 2
2θ 23.53, rel. 866, hkl 2 0 -3
2θ 30.25, rel. 507, hkl 2 0 -4
2θ 30.43, rel. 754, hkl 3 1 -1
2θ 30.84, rel. 975, hkl 3 1 0
2θ 31.96, rel. 968, hkl 3 1 -2
2θ 33.12, rel. 1000, hkl 3 1 1
2θ 35.20, rel. 452, hkl 3 1 -3
2θ 40.47, rel. 674, hkl 1 1 4
2θ 45.37, rel. 612, hkl 6 0 1
2θ 45.72, rel. 705, hkl 0 2 0
2θ 45.92, rel. 498, hkl 6 0 -4

Atomic structure:
```
data_Dy4MgSe7
_symmetry_space_group_name_H-M 'C 1 m 1'
_symmetry_Int_Tables_number 8
_symmetry_space_group_name_Hall 'C -2y'
_cell_length_a 13.1892
_cell_length_b 3.9686
_cell_length_c 12.0660
_cell_angle_alpha 90.00
_cell_angle_beta 104.96
_cell_angle_gamma 90.00
loop_
_atom_site_label
_atom_site_type_symbol
_atom_site_fract_x
_atom_site_fract_y
_atom_site_fract_z
Dy1 Dy 0.0000 0.0000 0.0000
Dy2 Dy 0.0803 0.5000 0.3647
Dy3 Dy 0.1928 0.0000 0.7668
Dy4 Dy 0.3865 0.5000 0.5625
Mg1 Mg 0.2707 0.5000 0.1455
Se1 Se 0.0473 0.5000 0.6189
Se2 Se 0.1297 0.5000 0.9269
Se3 Se 0.1534 0.0000 0.2158
Se4 Se 0.2247 0.0000 0.5183
Se5 Se 0.3494 0.5000 0.7828
Se6 Se 0.3817 0.0000 0.0704
Se7 Se 0.4220 0.5000 0.3443
```


The following is a theoretical XRD peak list of Dy4MgSe5. It was derived from the PBE geometry in Alexandria, using λ = 1.5418 Å (Cu Kα).

Largest 12 diffraction maxima, low angle first, 10 to 90 degrees two-theta:
2θ 13.83, rel. 73, hkl 1 1 0
2θ 18.34, rel. 50, hkl 1 0 1
2θ 26.97, rel. 162, hkl 1 2 1
2θ 31.24, rel. 1000, hkl 0 0 2
2θ 33.56, rel. 48, hkl 3 0 1
2θ 39.17, rel. 46, hkl 2 3 1
2θ 44.77, rel. 730, hkl 3 1 2
2θ 53.04, rel. 76, hkl 5 0 1
2θ 55.60, rel. 251, hkl 2 4 2
2θ 65.17, rel. 112, hkl 0 0 4
2θ 74.05, rel. 306, hkl 3 1 4
2θ 82.54, rel. 228, hkl 2 4 4

Atomic structure:
```
data_Dy4MgSe5
_symmetry_space_group_name_H-M 'I 4/m'
_symmetry_Int_Tables_number 87
_symmetry_space_group_name_Hall '-I 4'
_cell_length_a 9.0560
_cell_length_b 9.0560
_cell_length_c 5.7226
_cell_angle_alpha 90.00
_cell_angle_beta 90.00
_cell_angle_gamma 90.00
loop_
_atom_site_label
_atom_site_type_symbol
_atom_site_fract_x
_atom_site_fract_y
_atom_site_fract_z
Dy1 Dy 0.0945 0.6923 0.0000
Mg1 Mg 0.0000 0.0000 0.5000
Se1 Se 0.0000 0.0000 0.0000
Se2 Se 0.0985 0.7168 0.5000
```


The following is a theoretical XRD peak list of TbDy4MgSe8. It was derived from the PBE geometry in Alexandria, using λ = 1.5418 Å (Cu Kα).

Largest 12 diffraction maxima, low angle first, 10 to 90 degrees two-theta:
2θ 12.99, rel. 347, hkl 0 0 3
2θ 25.02, rel. 833, hkl 0 2 1
2θ 30.28, rel. 754, hkl 0 2 4
2θ 39.67, rel. 428, hkl 0 2 7
2θ 43.35, rel. 1000, hkl 2 2 0
2θ 53.80, rel. 190, hkl 4 0 4
2θ 60.21, rel. 199, hkl 4 0 7
2θ 62.98, rel. 159, hkl 0 4 8
2θ 68.87, rel. 130, hkl 0 0 15
2θ 71.47, rel. 234, hkl 2 4 4
2θ 79.55, rel. 319, hkl 6 0 0
2θ 84.98, rel. 128, hkl 2 2 15

Atomic structure:
```
data_TbDy4MgSe8
_symmetry_space_group_name_H-M 'R 3 m'
_symmetry_Int_Tables_number 160
_symmetry_space_group_name_Hall 'R 3 -2"'
_cell_length_a 8.3468
_cell_length_b 8.3468
_cell_length_c 20.4561
_cell_angle_alpha 90.00
_cell_angle_beta 90.00
_cell_angle_gamma 120.00
loop_
_atom_site_label
_atom_site_type_symbol
_atom_site_fract_x
_atom_site_fract_y
_atom_site_fract_z
Tb1 Tb 0.0000 0.0000 0.0000
Dy1 Dy 0.0000 0.0000 0.6217
Dy2 Dy 0.1710 0.3420 0.8289
Mg1 Mg 0.0000 0.0000 0.3717
Se1 Se 0.0000 0.0000 0.2430
Se2 Se 0.0000 0.0000 0.7551
Se3 Se 0.0090 0.5045 0.7483
Se4 Se 0.1775 0.3549 0.5769
```


The following is a theoretical XRD peak list of Sm4Dy8Mg. It was derived from the PBE geometry in Alexandria, using λ = 1.5418 Å (Cu Kα).

Largest 12 diffraction maxima, low angle first, 10 to 90 degrees two-theta:
2θ 19.88, rel. 211, hkl 0 0 3
2θ 22.99, rel. 143, hkl 2 0 2
2θ 32.74, rel. 1000, hkl 2 2 0
2θ 38.59, rel. 117, hkl 2 2 3
2θ 40.38, rel. 43, hkl 0 4 2
2θ 46.98, rel. 182, hkl 4 0 4
2θ 51.48, rel. 51, hkl 0 2 7
2θ 52.92, rel. 58, hkl 4 2 2
2θ 58.44, rel. 376, hkl 6 0 0
2θ 62.36, rel. 36, hkl 4 0 7
2θ 68.62, rel. 115, hkl 4 4 0
2θ 78.13, rel. 158, hkl 6 2 4

Atomic structure:
```
data_Sm4Dy8Mg
_symmetry_space_group_name_H-M 'R -3 m'
_symmetry_Int_Tables_number 166
_symmetry_space_group_name_Hall '-R 3 2"'
_cell_length_a 10.9478
_cell_length_b 10.9478
_cell_length_c 13.3863
_cell_angle_alpha 90.00
_cell_angle_beta 90.00
_cell_angle_gamma 120.00
loop_
_atom_site_label
_atom_site_type_symbol
_atom_site_fract_x
_atom_site_fract_y
_atom_site_fract_z
Sm1 Sm 0.0000 0.0000 0.0000
Sm2 Sm 0.0000 0.5000 0.0000
Dy1 Dy 0.0000 0.0000 0.2430
Dy2 Dy 0.0091 0.5045 0.7475
Mg1 Mg 0.0000 0.0000 0.5000
```


The following is a theoretical XRD peak list of Sm12Dy6Mg. It was derived from the PBE geometry in Alexandria, using λ = 1.5418 Å (Cu Kα).

Largest 12 diffraction maxima, low angle first, 10 to 90 degrees two-theta:
2θ 22.99, rel. 157, hkl 1 1 3
2θ 23.37, rel. 103, hkl 2 1 1
2θ 30.68, rel. 365, hkl 0 1 5
2θ 31.27, rel. 231, hkl 0 3 3
2θ 31.57, rel. 1000, hkl 1 3 1
2θ 32.80, rel. 703, hkl 3 -1 4
2θ 33.22, rel. 263, hkl 4 -1 2
2θ 34.20, rel. 113, hkl 2 0 5
2θ 34.74, rel. 150, hkl 2 2 3
2θ 44.87, rel. 123, hkl 5 -2 4
2θ 55.12, rel. 163, hkl 5 2 0
2θ 65.96, rel. 120, hkl 2 6 2

Atomic structure:
```
data_Sm12Dy6Mg
_symmetry_space_group_name_H-M 'R -3'
_symmetry_Int_Tables_number 148
_symmetry_space_group_name_Hall '-R 3'
_cell_length_a 12.0105
_cell_length_b 12.0105
_cell_length_c 15.1784
_cell_angle_alpha 90.00
_cell_angle_beta 90.00
_cell_angle_gamma 120.00
loop_
_atom_site_label
_atom_site_type_symbol
_atom_site_fract_x
_atom_site_fract_y
_atom_site_fract_z
Sm1 Sm 0.0037 0.1761 0.3122
Sm2 Sm 0.0459 0.8480 0.9157
Dy1 Dy 0.0195 0.4289 0.1891
Mg1 Mg 0.0000 0.0000 0.5000
```